Diffraction record for TiNbO4. The powder diffractogram is simulated, not measured: it uses a PBE-relaxed structure and Cu Ka.

Atomic structure:
```
data_TiNbO4
_chemical_formula_sum 'Ti2 Nb2 O8'
_symmetry_space_group_name_H-M 'I -4 m 2'
_symmetry_Int_Tables_number 119
_symmetry_space_group_name_Hall 'I -4 -2'
_cell_length_a 3.9477
_cell_length_b 3.9477
_cell_length_c 9.8801
_cell_angle_alpha 90.00
_cell_angle_beta 90.00
_cell_angle_gamma 90.00
loop_
_atom_site_label
_atom_site_type_symbol
_atom_site_fract_x
_atom_site_fract_y
_atom_site_fract_z
Ti1 Ti 0.0000 0.0000 0.0000
Nb1 Nb 0.0000 0.5000 0.7500
O1 O 0.0000 0.0000 0.2067
O2 O 0.0000 0.5000 0.5423
```

Main lines, in order of rising 2θ (15 to 90 degrees two-theta):
| hkl | Position (°2θ) | d (Å) | I (rel.) |
| --- | --- | --- | --- |
| 1 0 1 | 24.3 | 3.666 | 100 |
| 0 0 4 | 36.4 | 2.470 | 18 |
| 1 1 2 | 37.0 | 2.430 | 17 |
| 2 0 0 | 46.0 | 1.974 | 25 |
| 1 0 5 | 51.7 | 1.767 | 17 |
| 2 1 1 | 52.7 | 1.738 | 21 |


Diffraction record for Ti3NbO8. The powder diffractogram is simulated, not measured: it uses a PBE-relaxed structure and Cu Ka.

Atomic structure:
```
data_Ti3NbO8
_chemical_formula_sum 'Ti6 Nb2 O16'
_symmetry_space_group_name_H-M 'P -1'
_symmetry_Int_Tables_number 2
_cell_length_a 4.7251
_cell_length_b 6.0090
_cell_length_c 9.9124
_cell_angle_alpha 72.36
_cell_angle_beta 89.55
_cell_angle_gamma 89.97
loop_
_symmetry_equiv_pos_as_xyz
'x,y,z'
'-x,-y,-z'
loop_
_atom_site_label
_atom_site_type_symbol
_atom_site_fract_x
_atom_site_fract_y
_atom_site_fract_z
Ti1 Ti 0.0000 0.0000 0.0000
Ti2 Ti 0.0000 0.5000 0.0000
Ti3 Ti 0.0019 0.2378 0.5030
Ti4 Ti 0.4955 0.8767 0.7533
Nb1 Nb 0.4975 0.6201 0.2519
O1 O 0.1924 0.2969 0.9026
O2 O 0.1945 0.5459 0.4044
O3 O 0.1958 0.0461 0.4031
O4 O 0.1976 0.7989 0.9030
O5 O 0.2990 0.9256 0.1532
O6 O 0.3031 0.4200 0.1505
O7 O 0.3033 0.6775 0.6506
O8 O 0.3057 0.1721 0.6502
```

Main lines, in order of rising 2θ (15 to 90 degrees two-theta):
| hkl | Position (°2θ) | d (Å) | I (rel.) |
| --- | --- | --- | --- |
| 1 0 2 | 26.6 | 3.354 | 94 |
| 1 0 -2 | 26.8 | 3.327 | 94 |
| 0 2 3 | 35.4 | 2.535 | 100 |
| 2 -2 1 | 52.9 | 1.732 | 56 |
| -1 2 5 | 53.1 | 1.724 | 56 |
| 3 2 1 | 67.1 | 1.395 | 39 |


Diffraction record for Ti3NbO8. The powder diffractogram is simulated, not measured: it uses a PBE-relaxed structure and Cu Ka.

Atomic structure:
```
data_Ti3NbO8
_chemical_formula_sum 'Ti6 Nb2 O16'
_symmetry_space_group_name_H-M 'P 63 m c'
_symmetry_Int_Tables_number 186
_symmetry_space_group_name_Hall 'P 6c -2c'
_cell_length_a 5.9745
_cell_length_b 5.9745
_cell_length_c 9.4014
_cell_angle_alpha 90.00
_cell_angle_beta 90.00
_cell_angle_gamma 120.00
loop_
_atom_site_label
_atom_site_type_symbol
_atom_site_fract_x
_atom_site_fract_y
_atom_site_fract_z
Ti1 Ti 0.1687 0.3374 0.0000
Nb1 Nb 0.3333 0.6667 0.2764
O1 O 0.0000 0.0000 0.0953
O2 O 0.0428 0.5214 0.1220
O3 O 0.1693 0.3385 0.3864
O4 O 0.3333 0.6667 0.8919
```

Main lines, in order of rising 2θ (15 to 90 degrees two-theta):
| hkl | Position (°2θ) | d (Å) | I (rel.) |
| --- | --- | --- | --- |
| 1 0 1 | 19.6 | 4.533 | 100 |
| 1 0 2 | 25.6 | 3.479 | 30 |
| 1 0 3 | 33.4 | 2.680 | 28 |
| 1 1 2 | 35.6 | 2.521 | 41 |
| 2 0 3 | 45.5 | 1.995 | 29 |
| 2 0 5 | 60.9 | 1.521 | 25 |


Diffraction record for TiNbTlO5. The powder diffractogram is simulated, not measured: it uses a PBE-relaxed structure and Cu Ka.

Atomic structure:
```
data_TiNbTlO5
_chemical_formula_sum 'Ti4 Nb4 Tl4 O20'
_symmetry_space_group_name_H-M 'P n m a'
_symmetry_Int_Tables_number 62
_cell_length_a 6.5278
_cell_length_b 3.8398
_cell_length_c 19.1972
_cell_angle_alpha 90.00
_cell_angle_beta 90.00
_cell_angle_gamma 90.00
loop_
_symmetry_equiv_pos_as_xyz
'x,y,z'
'-x,-y,-z'
'-x+1/2,-y,z+1/2'
'x+1/2,y,-z+1/2'
'x+1/2,-y+1/2,-z+1/2'
'-x+1/2,y+1/2,z+1/2'
'-x,y+1/2,-z'
'x,-y+1/2,z'
loop_
_atom_site_label
_atom_site_type_symbol
_atom_site_fract_x
_atom_site_fract_y
_atom_site_fract_z
Ti1 Ti 0.1829 0.2500 0.0331
Nb1 Nb 0.2281 0.2500 0.3927
Tl1 Tl 0.2293 0.2500 0.6958
O1 O 0.0359 0.2500 0.1168
O2 O 0.0645 0.7500 0.5706
O3 O 0.1446 0.7500 0.0098
O4 O 0.1681 0.2500 0.3006
O5 O 0.2406 0.7500 0.4224
```

Main lines, in order of rising 2θ (15 to 90 degrees two-theta):
| hkl | Position (°2θ) | d (Å) | I (rel.) |
| --- | --- | --- | --- |
| 1 0 4 | 23.0 | 3.867 | 61 |
| 0 1 3 | 27.1 | 3.293 | 54 |
| 2 0 0 | 27.3 | 3.263 | 74 |
| 1 1 3 | 30.4 | 2.940 | 100 |
| 1 0 6 | 31.1 | 2.873 | 61 |
| 0 2 0 | 47.4 | 1.920 | 31 |